Structure and theoretical XRD peak list of PmHo2TmTh (a DFT-relaxed cell (GGA-PBE, Alexandria); Cu Kα (λ = 1.5418 Å)).
Kinematic intensities with the Lorentz-polarization factor, no thermal factor.

Principal peaks in the range 10 to 90 degrees two-theta, in order of rising 2θ:
2θ (°), I_rel
20.51, 18
26.01, 16
30.97, 16
31.70, 100
31.97, 39
32.73, 20
34.97, 26
36.56, 24
56.81, 19
61.93, 20

Cell and atoms:
```
data_PmHo2TmTh
_symmetry_space_group_name_H-M 'P m m m'
_symmetry_Int_Tables_number 47
_symmetry_space_group_name_Hall '-P 2 2'
_cell_length_a 3.529
_cell_length_b 5.599
_cell_length_c 8.661
_cell_angle_alpha 90.00
_cell_angle_beta 90.00
_cell_angle_gamma 90.00
loop_
_atom_site_label
_atom_site_type_symbol
_atom_site_fract_x
_atom_site_fract_y
_atom_site_fract_z
Pm1 Pm 0.000 0.000 0.000
Ho1 Ho 0.000 0.500 0.322
Tm1 Tm 0.500 0.000 0.500
Th1 Th 0.500 0.500 0.000
```